(1)
Diffraction record for Y2HoTl2Ag2. The powder diffractogram is computed, not measured: it uses DFT lattice parameters and positions (PBE) and Cu Kα X-rays.
Lines closer than 0.1° are merged.

Main lines, in order of rising 2θ (5° ≤ 2θ ≤ 70°):
| Position (°2θ) | I/Imax | h k l |
| --- | --- | --- |
| 9.8 | 30 | 0 0 3 |
| 31.4 | 31 | 1 0 7 |
| 34.0 | 97 | 0 1 8 |
| 37.0 | 100 | 1 1 0 |
| 51.1 | 30 | 2 0 8 |
| 64.7 | 30 | 1 2 8 |

Atomic structure:
a b c (Å): 4.8622 4.8622 27.0628
angles (deg): 90.00 90.00 120.00
Space group R-3m (No. 166, hexagonal axes)
Asymmetric unit:
Y  0.0000  0.0000  0.1248
Ho  0.0000  0.0000  0.0000
Tl  0.0000  0.0000  0.2584
Ag  0.0000  0.0000  0.3927


(2)
Diffraction record for La4PmTm2. The powder diffractogram is computed, not measured: it uses DFT lattice parameters and positions (PBE) and Cu Kα X-rays.
Lines closer than 0.1° are merged.

Main lines, in order of rising 2θ (5° ≤ 2θ ≤ 70°):
| Position (°2θ) | I/Imax | h k l |
| --- | --- | --- |
| 29.8 | 100 | 1 7 -1 |
| 30.3 | 29 | 0 2 2 |
| 31.1 | 67 | 2 0 -2 |
| 31.7 | 29 | 1 5 1 |
| 32.0 | 21 | 2 2 0 |
| 36.5 | 30 | 1 7 1 |

Atomic structure:
a b c (Å): 6.531 24.619 6.894
angles (deg): 90.00 118.24 90.00
Space group Cc (No. 9)
Asymmetric unit:
La  0.000  0.019  0.000
La  0.088  0.302  0.225
La  0.134  0.269  0.768
La  0.497  0.052  0.543
Pm  0.035  0.125  0.633
Tm  0.065  0.407  0.587
Tm  0.112  0.157  0.181


(3)
Diffraction record for ErTmBeRh. The powder diffractogram is computed, not measured: it uses DFT lattice parameters and positions (PBE) and Cu Kα X-rays.
Lines closer than 0.1° are merged.

Main lines, in order of rising 2θ (5° ≤ 2θ ≤ 70°):
| Position (°2θ) | I/Imax | h k l |
| --- | --- | --- |
| 22.8 | 12 | 1 1 1 |
| 26.3 | 31 | 2 0 0 |
| 37.6 | 100 | 2 2 0 |
| 54.2 | 17 | 4 0 0 |
| 61.2 | 12 | 4 2 0 |
| 67.8 | 35 | 4 2 2 |

Atomic structure:
a b c (Å): 6.770 6.770 6.770
angles (deg): 90.00 90.00 90.00
Space group F-43m (No. 216)
Asymmetric unit:
Er  0.000  0.000  0.000
Tm  0.000  0.000  0.500
Be  0.250  0.250  0.750
Rh  0.250  0.250  0.250


(4)
Diffraction record for ZrNbNi. The powder diffractogram is computed, not measured: it uses DFT lattice parameters and positions (PBE) and Cu Kα X-rays.
Lines closer than 0.1° are merged.

Main lines, in order of rising 2θ (5° ≤ 2θ ≤ 70°):
| Position (°2θ) | I/Imax | h k l |
| --- | --- | --- |
| 35.7 | 47 | 0 0 6 |
| 36.8 | 100 | 1 1 2 |
| 41.5 | 41 | 0 2 0 |
| 42.5 | 74 | 1 1 4 |
| 55.9 | 25 | 0 2 6 |
| 57.6 | 15 | 2 0 0 |

Atomic structure:
a b c (Å): 3.199 4.357 15.076
angles (deg): 90.00 90.00 90.00
Space group Immm (No. 71)
Asymmetric unit:
Zr  0.000  0.000  0.178
Nb  0.000  0.500  0.000
Nb  0.000  0.500  0.500
Ni  0.000  0.000  0.358


(5)
Diffraction record for Mg3Tl4. The powder diffractogram is computed, not measured: it uses DFT lattice parameters and positions (PBE) and Cu Kα X-rays.
Lines closer than 0.1° are merged.

Main lines, in order of rising 2θ (5° ≤ 2θ ≤ 70°):
| Position (°2θ) | I/Imax | h k l |
| --- | --- | --- |
| 15.8 | 26 | 1 0 1 |
| 24.3 | 29 | 0 1 2 |
| 32.1 | 30 | 0 0 3 |
| 33.1 | 100 | 3 -1 1 |
| 38.1 | 61 | 1 2 2 |
| 65.8 | 28 | 4 1 3 |

Atomic structure:
a b c (Å): 8.7243 8.7243 8.3712
angles (deg): 90.00 90.00 120.00
Space group R3 (No. 146, hexagonal axes)
Asymmetric unit:
Mg  0.0453  0.8045  0.0000
Tl  0.0000  0.0000  0.3056
Tl  0.1426  0.4248  0.3483


(6)
Diffraction record for Ho2InNi4Ge3. The powder diffractogram is computed, not measured: it uses DFT lattice parameters and positions (PBE) and Cu Kα X-rays.
Lines closer than 0.1° are merged.

Main lines, in order of rising 2θ (5° ≤ 2θ ≤ 70°):
| Position (°2θ) | I/Imax | h k l |
| --- | --- | --- |
| 34.7 | 50 | 1 0 3 |
| 35.8 | 100 | 1 1 2 |
| 44.2 | 48 | 2 0 0 |
| 50.7 | 23 | 1 0 5 |
| 57.4 | 23 | 2 1 3 |
| 64.4 | 25 | 2 2 0 |

Atomic structure:
a b c (Å): 4.097 4.097 10.017
angles (deg): 90.00 90.00 90.00
Space group P-4m2 (No. 115)
Asymmetric unit:
Ho  0.000  0.500  0.237
In  0.000  0.000  0.500
Ni  0.000  0.000  0.000
Ni  0.000  0.500  0.648
Ni  0.500  0.500  0.000
Ge  0.000  0.500  0.878
Ge  0.500  0.500  0.500